Simulated powder X-ray diffraction pattern of Li2Al3Ag3 for Cu Kα, from a cell relaxed with PBE.

Most intense lines, 10° ≤ 2θ ≤ 90°, low angle first:
2θ 23.6, I 100.0; 2θ 40.9, I 75.7; 2θ 41.5, I 39.9; 2θ 54.0, I 14.7; 2θ 59.7, I 20.1; 2θ 75.3, I 18.4

Crystal structure
abc: 5.134 5.134 5.134
angles: 94.59 94.59 94.59
Atoms (fractional coordinates):
1 Li 0.209 0.209 0.209
2 Li 0.791 0.791 0.791
3 Al 0.213 0.787 0.500
4 Al 0.500 0.213 0.787
5 Al 0.787 0.500 0.213
6 Ag 0.000 0.315 0.685
7 Ag 0.315 0.685 0.000
8 Ag 0.685 0.000 0.315